Record 1
# Hg2BiI2
Calculated powder diffraction line list, Cu Kα (λ = 1.5418 Å). Input: a GGA-PBE-relaxed structure.
Neutral-atom scattering factors, no anomalous dispersion.

Largest 8 diffraction maxima, in order of falling intensity, 15 to 90 degrees two-theta:
2θ (°), I (rel.), hkl
24.34, 100, 2 0 1
27.12, 76, 0 1 2
27.83, 67, 0 2 -1
34.54, 38, 2 1 3
23.56, 27, 2 1 1
42.41, 26, 2 -2 2
40.43, 23, 0 1 -3
38.02, 20, 0 3 1

Cell and atoms:
a = 7.694 Å, b = 7.770 Å, c = 8.095 Å
α = 78.99°, β = 62.16°, γ = 71.96°
Space group P-1 (No. 2)
Inequivalent atoms, fractional coordinates:
Hg 0.115 0.103 0.189 [2 per cell]
Hg 0.357 0.280 0.646 [2 per cell]
Bi 0.212 0.431 0.993 [2 per cell]
I 0.109 0.746 0.349 [2 per cell]
I 0.426 0.808 0.733 [2 per cell]

---

Record 2
# ErCd2In2Ag2
Calculated powder diffraction line list, Cu Kα (λ = 1.5418 Å). Input: a GGA-PBE-relaxed structure.
Neutral-atom scattering factors, no anomalous dispersion.

Largest 8 diffraction maxima, in order of falling intensity, 15 to 90 degrees two-theta:
2θ (°), I (rel.), hkl
33.96, 100, 1 1 2
35.99, 86, 3 1 -1
38.84, 38, 0 2 0
38.26, 29, 2 0 -3
44.51, 25, 4 0 1
55.66, 19, 2 2 -3
60.53, 18, 4 2 1
68.47, 14, 3 3 -1

Cell and atoms:
a = 9.095 Å, b = 4.637 Å, c = 7.528 Å
α = 90.00°, β = 100.79°, γ = 90.00°
Space group C2/m (No. 12)
Inequivalent atoms, fractional coordinates:
Er 0.000 0.000 0.000 [2 per cell]
Cd 0.087 0.500 0.702 [4 per cell]
In 0.210 0.500 0.191 [4 per cell]
Ag 0.129 0.000 0.421 [4 per cell]

---

Record 3
# Cs4Nd3TiS8
Calculated powder diffraction line list, Cu Kα (λ = 1.5418 Å). Input: a GGA-PBE-relaxed structure.
Neutral-atom scattering factors, no anomalous dispersion.

Largest 8 diffraction maxima, in order of falling intensity, 15 to 90 degrees two-theta:
2θ (°), I (rel.), hkl
29.00, 100, 0 2 4
25.97, 48, 2 0 2
39.00, 36, 2 0 8
43.82, 33, 2 2 0
22.05, 29, 0 0 6
49.58, 22, 2 2 6
45.25, 18, 0 2 10
53.41, 17, 4 0 4

Cell and atoms:
a = 8.2635 Å, b = 8.2635 Å, c = 24.1882 Å
α = 90.00°, β = 90.00°, γ = 120.00°
Space group R-3m (No. 166, hexagonal axes)
Inequivalent atoms, fractional coordinates:
Cs 0.0000 0.0000 0.0000 [3 per cell]
Cs 0.0000 0.5000 0.0000 [9 per cell]
Nd 0.0000 0.5000 0.5000 [9 per cell]
Ti 0.0000 0.0000 0.5000 [3 per cell]
S 0.0000 0.0000 0.2303 [6 per cell]
S 0.0260 0.5130 0.2262 [18 per cell]

---

Record 4
# NaNb2SnRh
Calculated powder diffraction line list, Cu Kα (λ = 1.5418 Å). Input: a GGA-PBE-relaxed structure.
Neutral-atom scattering factors, no anomalous dispersion.

Largest 8 diffraction maxima, in order of falling intensity, 15 to 90 degrees two-theta:
2θ (°), I (rel.), hkl
33.43, 100, 1 1 1
38.38, 43, 2 0 0
56.35, 28, 2 0 2
66.28, 27, 3 1 1
39.62, 20, 0 0 2
55.40, 15, 2 2 0
70.24, 14, 2 2 2
67.97, 13, 1 1 3

Cell and atoms:
a = 4.691 Å, b = 4.691 Å, c = 4.549 Å
α = 90.00°, β = 90.00°, γ = 90.00°
Space group P4/mmm (No. 123)
Inequivalent atoms, fractional coordinates:
Na 0.000 0.000 0.000 [1 per cell]
Nb 0.000 0.500 0.000 [2 per cell]
Sn 0.500 0.500 0.500 [1 per cell]
Rh 0.000 0.000 0.500 [1 per cell]

---

Record 5
# Ac2TbMg3
Calculated powder diffraction line list, Cu Kα (λ = 1.5418 Å). Input: a GGA-PBE-relaxed structure.
Neutral-atom scattering factors, no anomalous dispersion.

Largest 8 diffraction maxima, in order of falling intensity, 15 to 90 degrees two-theta:
2θ (°), I (rel.), hkl
31.54, 100, 1 1 0
22.20, 48, 1 0 0
56.22, 26, 2 1 3
22.07, 24, 0 0 3
38.88, 23, 1 1 3
50.97, 22, 2 1 0
45.30, 13, 2 0 0
56.04, 12, 1 1 6

Cell and atoms:
a = 4.004 Å, b = 4.004 Å, c = 12.083 Å
α = 90.00°, β = 90.00°, γ = 90.00°
Space group P4/mmm (No. 123)
Inequivalent atoms, fractional coordinates:
Ac 0.000 0.000 0.177 [2 per cell]
Tb 0.000 0.000 0.500 [1 per cell]
Mg 0.500 0.500 0.000 [1 per cell]
Mg 0.500 0.500 0.357 [2 per cell]

---

Record 6
# AlAg
Calculated powder diffraction line list, Cu Kα (λ = 1.5418 Å). Input: a GGA-PBE-relaxed structure.
Neutral-atom scattering factors, no anomalous dispersion.

Largest 8 diffraction maxima, in order of falling intensity, 15 to 90 degrees two-theta:
2θ (°), I (rel.), hkl
38.17, 100, 1 1 4
44.58, 20, 2 0 0
22.46, 18, 0 1 1
44.41, 16, 0 2 0
44.11, 16, 0 0 8
27.32, 13, 1 0 3
77.59, 12, 1 3 4
77.84, 12, 3 1 4

Cell and atoms:
a = 4.065 Å, b = 4.080 Å, c = 16.425 Å
α = 90.00°, β = 90.00°, γ = 90.00°
Space group Imm2 (No. 44)
Inequivalent atoms, fractional coordinates:
Al 0.000 0.000 0.000 [2 per cell]
Al 0.000 0.000 0.248 [2 per cell]
Al 0.000 0.000 0.749 [2 per cell]
Al 0.000 0.500 0.374 [2 per cell]
Ag 0.000 0.000 0.494 [2 per cell]
Ag 0.000 0.500 0.128 [2 per cell]
Ag 0.000 0.500 0.624 [2 per cell]
Ag 0.000 0.500 0.867 [2 per cell]

---

Please write out number 1 again, unchanged.
# Hg2BiI2
Calculated powder diffraction line list, Cu Kα (λ = 1.5418 Å). Input: a GGA-PBE-relaxed structure.
Neutral-atom scattering factors, no anomalous dispersion.

Largest 8 diffraction maxima, in order of falling intensity, 15 to 90 degrees two-theta:
2θ (°), I (rel.), hkl
24.34, 100, 2 0 1
27.12, 76, 0 1 2
27.83, 67, 0 2 -1
34.54, 38, 2 1 3
23.56, 27, 2 1 1
42.41, 26, 2 -2 2
40.43, 23, 0 1 -3
38.02, 20, 0 3 1

Cell and atoms:
a = 7.694 Å, b = 7.770 Å, c = 8.095 Å
α = 78.99°, β = 62.16°, γ = 71.96°
Space group P-1 (No. 2)
Inequivalent atoms, fractional coordinates:
Hg 0.115 0.103 0.189 [2 per cell]
Hg 0.357 0.280 0.646 [2 per cell]
Bi 0.212 0.431 0.993 [2 per cell]
I 0.109 0.746 0.349 [2 per cell]
I 0.426 0.808 0.733 [2 per cell]